# 1
Calculated powder X-ray diffraction pattern of CaAc2Zn12Ni3 for Cu Kα, 1.54184 Å, from a PBE-relaxed structure.
Neutral-atom scattering factors, no anomalous dispersion.

Top 10 peaks for 5 to 70 degrees two-theta, low angle first:
2θ (°)  I (rel.)  (hkl)
13.1  100  1 0 1
24.9  97  1 1 3
25.3  91  0 2 1
30.0  54  0 2 4
32.6  99  2 0 5
33.1  87  1 1 6
34.3  64  1 2 2
37.5  69  0 0 9
44.0  88  2 2 0
50.7  65  0 0 12

Atomic structure:
Cell: 8.2400 8.2400 21.5808 Å, 90.00 90.00 120.00°
Space group R-3m (No. 166, hexagonal axes)
Symmetry-distinct sites (fractional):
Ca 0.0000 0.0000 0.0000 [3 per cell]
Ac 0.0000 0.0000 0.4002 [6 per cell]
Zn 0.0242 0.5121 0.8317 [18 per cell]
Zn 0.1089 0.5545 0.3959 [18 per cell]
Ni 0.0000 0.5000 0.5000 [9 per cell]



# 2
Calculated powder X-ray diffraction pattern of Pr3HoPu2S6 for Cu Kα, 1.54184 Å, from a PBE-relaxed structure.
Neutral-atom scattering factors, no anomalous dispersion.

Top 10 peaks for 5 to 70 degrees two-theta, low angle first:
2θ (°)  I (rel.)  (hkl)
27.0  23  0 0 2
27.2  66  2 0 0
31.5  100  1 3 1
44.9  37  2 0 2
45.3  36  0 6 0
53.2  11  1 3 3
53.5  22  3 3 1
53.7  11  2 6 0
56.2  19  4 0 0
65.7  12  2 6 2

Atomic structure:
Cell: 6.9347 12.0135 7.0061 Å, 90.00 109.24 90.00°
Space group C2/m (No. 12)
Symmetry-distinct sites (fractional):
Pr 0.0000 0.0000 0.0000 [2 per cell]
Pr 0.0000 0.3323 0.0000 [4 per cell]
Ho 0.0000 0.5000 0.5000 [2 per cell]
Pu 0.0000 0.1665 0.5000 [4 per cell]
S 0.2434 0.3346 0.7340 [8 per cell]
S 0.2480 0.0000 0.7361 [4 per cell]